Entry 1:
For MnAgSe, a structure optimized by DFT (GGA-PBE) gives the calculated powder XRD pattern in this record (Cu Kα (λ = 1.5418 Å)).
Lines closer than 0.1° are merged.

Unit cell a=10.6982 b=3.6034 c=6.6487 alpha=90.00 beta=108.91 gamma=90.00
Space group Cm (No. 8)
Symmetry-distinct sites (fractional):
Mn1 0.0000 0.0000 0.0000
Mn2 0.2494 0.5000 0.6050
Ag1 0.2824 0.0000 0.9371
Ag2 0.4749 0.0000 0.3312
Se1 0.0580 0.5000 0.7677
Se2 0.2115 0.0000 0.3300

Principal peaks in the range 15° ≤ 2θ ≤ 90°, low angle first:
26.3 deg, I = 64, (1 1 0); 28.4 deg, I = 35, (0 0 2); 28.5 deg, I = 65, (1 1 -1); 33.6 deg, I = 28, (4 0 -1); 35.5 deg, I = 51, (4 0 0); 35.9 deg, I = 54, (3 1 -1); 40.9 deg, I = 100, (3 1 -2); 41.2 deg, I = 92, (1 1 2); 42.5 deg, I = 43, (3 1 1); 50.7 deg, I = 38, (0 2 0)

---

Entry 2:
For Mn2AgSe4, a structure optimized by DFT (GGA-PBE) gives the calculated powder XRD pattern in this record (Cu Kα (λ = 1.5418 Å)).
Lines closer than 0.1° are merged.

Unit cell a=10.7400 b=10.7706 c=10.8129 alpha=90.00 beta=90.00 gamma=90.00
Space group Fddd (No. 70, origin choice 2)
Symmetry-distinct sites (fractional):
Mn1 0.0000 0.0000 0.0000
Ag1 0.1250 0.1250 0.6250
Se1 0.0132 0.0138 0.2356

Principal peaks in the range 15° ≤ 2θ ≤ 90°, low angle first:
23.4 deg, I = 62, (0 2 2); 27.4 deg, I = 54, (1 3 1); 27.5 deg, I = 29, (3 1 1); 28.7 deg, I = 60, (2 2 2); 33.3 deg, I = 50, (4 0 0); 43.5 deg, I = 27, (1 1 5); 43.7 deg, I = 27, (1 5 1); 43.8 deg, I = 26, (5 1 1); 47.7 deg, I = 100, (4 0 4); 47.8 deg, I = 50, (4 4 0)

---

Entry 3:
For MnAgSe2, a structure optimized by DFT (GGA-PBE) gives the calculated powder XRD pattern in this record (Cu Kα (λ = 1.5418 Å)).
Lines closer than 0.1° are merged.

Unit cell a=3.7507 b=3.7507 c=23.3274 alpha=90.00 beta=90.00 gamma=120.00
Space group P3_221 (No. 154)
Symmetry-distinct sites (fractional):
Mn1 0.0000 0.6708 0.3333
Ag1 0.0000 0.6645 0.8333
Se1 0.0040 0.6666 0.7259

Principal peaks in the range 15° ≤ 2θ ≤ 90°, low angle first:
27.7 deg, I = 84, (1 0 1); 28.5 deg, I = 100, (0 1 2); 33.6 deg, I = 15, (0 1 5); 34.6 deg, I = 21, (0 0 9); 41.6 deg, I = 61, (0 1 8); 48.0 deg, I = 53, (1 0 10); 48.5 deg, I = 57, (1 1 0); 61.0 deg, I = 24, (1 1 9); 65.8 deg, I = 15, (2 0 8); 70.7 deg, I = 16, (0 2 10)